Entry 1:
# NaAgPdSeS2
Theoretical PXRD pattern, Cu Kα X-rays. Input: a crystal structure in OQMD, relaxed with GGA-PBE.

Structure:
```
NaAgPdSeS2
1.0
1.804 -6.963 0.000
1.804 6.963 0.000
0.000 0.000 10.323
Na Ag Pd Se S
2 2 2 2 4
direct
0.222 0.778 0.750
0.778 0.222 0.250
0.100 0.900 0.250
0.900 0.100 0.750
0.500 0.500 0.000
0.500 0.500 0.500
0.445 0.555 0.250
0.555 0.445 0.750
0.116 0.884 0.018
0.116 0.884 0.482
0.884 0.116 0.518
0.884 0.116 0.982
```

Main lines, by angle (10 to 90 degrees two-theta):
2theta, Rel. int.
12.71, 100
31.41, 36
32.61, 48
34.76, 36
41.14, 19
47.54, 21

Entry 2:
# HoAgSe2
Theoretical PXRD pattern, Cu Kα X-rays. Input: a crystal structure in OQMD, relaxed with GGA-PBE.

Structure:
```
HoAgSe2
1.0
4.240 0.000 0.000
0.000 6.808 0.000
0.000 0.000 13.764
Ho Ag Se
4 4 8
direct
0.221 0.207 0.127
0.279 0.793 0.627
0.721 0.293 0.873
0.779 0.707 0.373
0.004 0.705 0.126
0.496 0.295 0.626
0.504 0.795 0.874
0.996 0.205 0.374
0.222 0.089 0.773
0.229 0.490 0.973
0.271 0.510 0.473
0.278 0.911 0.273
0.722 0.411 0.227
0.729 0.010 0.027
0.771 0.990 0.527
0.778 0.589 0.727
```

Main lines, by angle (10 to 90 degrees two-theta):
2theta, Rel. int.
27.98, 100
31.60, 52
36.27, 58
37.15, 94
44.93, 43
45.30, 56

Entry 3:
# Pr2NdIn3PdAu2
Theoretical PXRD pattern, Cu Kα X-rays. Input: a crystal structure in OQMD, relaxed with GGA-PBE.

Structure:
```
Pr2NdIn3PdAu2
1.0
4.090 0.000 0.000
0.000 6.848 3.955
0.000 -6.848 3.955
Pr Nd In Pd Au
2 1 3 1 2
direct
0.000 0.204 0.796
0.000 0.796 0.204
0.000 0.613 0.613
0.500 0.205 0.453
0.500 0.453 0.205
0.500 0.956 0.956
0.000 0.205 0.205
0.500 0.538 0.870
0.500 0.870 0.538
```

Main lines, by angle (10 to 90 degrees two-theta):
2theta, Rel. int.
31.47, 100
34.15, 96
34.65, 49
39.47, 44
41.27, 37
63.42, 32

Entry 4:
# RbNd2Cu3Te5
Theoretical PXRD pattern, Cu Kα X-rays. Input: a crystal structure in OQMD, relaxed with GGA-PBE.

Structure:
```
RbNd2Cu3Te5
1.0
2.220 -7.752 0.000
2.220 7.752 0.000
0.000 0.000 18.626
Rb Nd Cu Te
2 4 6 10
direct
0.056 0.944 0.750
0.944 0.056 0.250
0.193 0.807 0.090
0.193 0.807 0.410
0.807 0.193 0.590
0.807 0.193 0.910
0.336 0.664 0.750
0.415 0.585 0.021
0.415 0.585 0.479
0.585 0.415 0.521
0.585 0.415 0.979
0.664 0.336 0.250
0.157 0.843 0.574
0.157 0.843 0.926
0.250 0.750 0.250
0.447 0.553 0.619
0.447 0.553 0.881
0.553 0.447 0.119
0.553 0.447 0.381
0.750 0.250 0.750
0.843 0.157 0.074
0.843 0.157 0.426
```

Main lines, by angle (10 to 90 degrees two-theta):
2theta, Rel. int.
26.49, 97
26.91, 100
28.18, 69
28.76, 66
32.82, 76
40.65, 67